This entry pairs a crystal structure of Zr4ZnHg3 with its simulated powder X-ray diffraction pattern. Radiation: a wavelength of 1.5418 Å. Structure: the GGA-PBE geometry in Alexandria.

Atomic structure:
```
data_Zr4ZnHg3
_cell_length_a 6.097
_cell_length_b 6.428
_cell_length_c 17.052
_cell_angle_alpha 90.00
_cell_angle_beta 90.00
_cell_angle_gamma 90.00
_symmetry_space_group_name_H-M 'F m m m'
_symmetry_Int_Tables_number 69
_symmetry_space_group_name_Hall '-F 2 2'
loop_
_atom_site_label
_atom_site_type_symbol
_atom_site_fract_x
_atom_site_fract_y
_atom_site_fract_z
Zr1 Zr 0.250 0.250 0.121
Zn1 Zn 0.000 0.000 0.000
Hg1 Hg 0.000 0.000 0.251
Hg2 Hg 0.000 0.000 0.500
```

Principal peaks in the range 2θ from 10° to 90°, low angle first:
2theta	d_spacing	I_rel	index
20.80	4.271	25	0 0 4
34.96	2.566	100	0 2 4
36.23	2.480	91	2 0 4
40.80	2.212	66	2 2 0
42.40	2.132	31	0 0 8
57.34	1.607	12	0 4 0
60.30	1.535	41	2 2 8
69.73	1.349	27	2 4 4
72.07	1.310	24	4 2 4
72.77	1.300	11	0 2 12